(1)
The following is a computed powder diffraction line list of AlZnGa2. It was derived from a cell relaxed with GGA-PBE, using a wavelength of 1.5418 Å.

Top 6 peaks for 10° ≤ 2θ ≤ 80°, low angle first:
2theta, I/Imax, hkl
10.4, 21, 0 0 1
38.0, 100, 1 0 2
42.7, 18, 0 0 4
45.0, 31, 1 1 0
63.7, 21, 1 1 4
78.3, 22, 2 1 2

Cell and atoms:
a b c (Å): 2.851 2.851 8.472
angles (deg): 90.00 90.00 90.00
Space group P4/mmm (No. 123)
Inequivalent atoms, fractional coordinates:
Al 0.000 0.000 0.000 [1 per cell]
Zn 0.000 0.000 0.500 [1 per cell]
Ga 0.500 0.500 0.257 [2 per cell]


(2)
The following is a computed powder diffraction line list of Al2Zn2Ga. It was derived from a cell relaxed with GGA-PBE, using a wavelength of 1.5418 Å.

Top 6 peaks for 10° ≤ 2θ ≤ 80°, low angle first:
2theta, I/Imax, hkl
14.8, 56, 2 0 0
35.5, 67, 2 0 1
35.8, 82, 0 2 0
41.8, 100, 5 1 0
43.1, 92, 3 1 -1
51.4, 45, 2 2 1

Cell and atoms:
a b c (Å): 11.993 5.011 2.806
angles (deg): 90.00 90.87 90.00
Space group C2/m (No. 12)
Inequivalent atoms, fractional coordinates:
Al 0.215 0.000 0.218 [4 per cell]
Zn 0.094 0.500 0.261 [4 per cell]
Ga 0.000 0.000 0.500 [2 per cell]


(3)
The following is a computed powder diffraction line list of Al4ZnGa5. It was derived from a cell relaxed with GGA-PBE, using a wavelength of 1.5418 Å.

Top 6 peaks for 10° ≤ 2θ ≤ 80°, low angle first:
2theta, I/Imax, hkl
23.8, 56, 0 1 -1
30.9, 45, -1 1 1
31.7, 42, 1 2 2
39.4, 100, 1 0 -2
39.5, 51, 1 1 3
43.8, 47, 2 1 1

Cell and atoms:
a b c (Å): 4.138 7.198 7.342
angles (deg): 61.95 74.17 75.03
Space group P-1 (No. 2)
Inequivalent atoms, fractional coordinates:
Al 0.027 0.223 0.238 [2 per cell]
Al 0.321 0.930 0.918 [2 per cell]
Zn 0.500 0.000 0.500 [1 per cell]
Ga 0.174 0.771 0.377 [2 per cell]
Ga 0.179 0.381 0.775 [2 per cell]
Ga 0.500 0.500 0.000 [1 per cell]


(4)
The following is a computed powder diffraction line list of Al5Zn6Ga. It was derived from a cell relaxed with GGA-PBE, using a wavelength of 1.5418 Å.

Top 6 peaks for 10° ≤ 2θ ≤ 80°, low angle first:
2theta, I/Imax, hkl
22.3, 24, 0 0 2
37.3, 56, 1 1 -2
39.0, 100, -1 2 2
40.5, 45, 1 1 2
45.1, 65, 2 -1 0
45.6, 32, 0 0 4

Cell and atoms:
a b c (Å): 4.023 6.361 7.984
angles (deg): 92.05 93.44 108.22
Space group P-1 (No. 2)
Inequivalent atoms, fractional coordinates:
Al 0.000 0.000 0.000 [1 per cell]
Al 0.333 0.666 0.502 [2 per cell]
Al 0.334 0.667 0.001 [2 per cell]
Zn 0.156 0.329 0.752 [2 per cell]
Zn 0.179 0.343 0.247 [2 per cell]
Zn 0.490 0.993 0.754 [2 per cell]
Ga 0.000 0.000 0.500 [1 per cell]


(5)
The following is a computed powder diffraction line list of AlZn3Ga12. It was derived from a cell relaxed with GGA-PBE, using a wavelength of 1.5418 Å.

Top 6 peaks for 10° ≤ 2θ ≤ 80°, low angle first:
2theta, I/Imax, hkl
35.7, 100, 0 2 2
36.7, 46, 1 -1 3
41.4, 33, 2 0 0
42.5, 31, 2 2 2
43.6, 28, 1 1 5
46.5, 23, 1 3 -1

Cell and atoms:
a b c (Å): 4.770 6.097 10.942
angles (deg): 85.54 78.29 68.59
Space group P-1 (No. 2)
Inequivalent atoms, fractional coordinates:
Al 0.000 0.000 0.000 [1 per cell]
Zn 0.000 0.500 0.500 [1 per cell]
Zn 0.004 0.248 0.747 [2 per cell]
Ga 0.000 0.127 0.375 [2 per cell]
Ga 0.001 0.619 0.874 [2 per cell]
Ga 0.497 0.626 0.376 [2 per cell]
Ga 0.498 0.749 0.751 [2 per cell]
Ga 0.498 0.875 0.127 [2 per cell]
Ga 0.500 0.000 0.500 [1 per cell]
Ga 0.500 0.500 0.000 [1 per cell]


(6)
The following is a computed powder diffraction line list of AlZn6Ga8. It was derived from a cell relaxed with GGA-PBE, using a wavelength of 1.5418 Å.

Top 6 peaks for 10° ≤ 2θ ≤ 80°, low angle first:
2theta, I/Imax, hkl
24.3, 22, 1 1 0
28.5, 24, 1 1 1
38.8, 100, 1 1 2
42.8, 76, 3 0 0
59.1, 28, 4 -2 2
75.6, 26, 4 1 2

Cell and atoms:
a b c (Å): 7.3270 7.3270 6.0031
angles (deg): 90.00 90.00 120.00
Space group P-3 (No. 147)
Inequivalent atoms, fractional coordinates:
Al 0.0000 0.0000 0.0000 [1 per cell]
Zn 0.0021 0.6670 0.1887 [6 per cell]
Ga 0.0017 0.6700 0.6412 [6 per cell]
Ga 0.3333 0.6667 0.9964 [2 per cell]